Structure and theoretical X-ray powder pattern of CsSe (a crystal structure in Alexandria, relaxed with PBE; copper Kα).

Top 12 peaks for 15° ≤ 2θ ≤ 90°, most intense first:
hkl, Position (°2θ), intensity
1 1 1, 24.7, 100
1 3 0, 27.9, 84
2 0 0, 32.8, 70
1 3 2, 44.6, 45
0 2 1, 22.6, 35
0 0 2, 34.1, 32
2 0 2, 48.1, 24
0 4 1, 34.7, 22
3 3 0, 55.6, 22
2 4 1, 48.5, 17
2 6 1, 60.4, 16
2 2 1, 40.2, 15

Cell: 5.457 11.867 5.257 Å, 90.00 90.00 90.00°
Positions (direct):
Cs  0.000  0.145  0.250
Cs  0.000  0.855  0.750
Cs  0.500  0.355  0.750
Cs  0.500  0.645  0.250
Se  0.000  0.464  0.250
Se  0.000  0.536  0.750
Se  0.500  0.036  0.750
Se  0.500  0.964  0.250